Starting from a DFT-relaxed cell (PBE, Alexandria), the powder X-ray diffraction pattern of Hf2MnTl3Te6 was simulated for Cu Kα (weighted mean of Kα1 and Kα2).
Intensities are scaled so that the largest is 100.

Main lines, by angle (10° ≤ 2θ ≤ 80°):
2θ/deg	I (rel.)
25.02	21
27.13	41
31.37	7
32.73	100
44.07	37
49.71	15
49.77	7
55.95	19
62.73	8
73.88	13

Atomic structure:
a b c (Å): 7.1164 7.1164 8.5557
angles (deg): 90.06 90.06 119.93
Positions (direct):
Hf: 0.1666 0.8334 0.0000
Hf: 0.8334 0.1666 0.0000
Mn: 0.5000 0.5000 0.0000
Tl: 0.1669 0.8331 0.5000
Tl: 0.5000 0.5000 0.5000
Tl: 0.8331 0.1669 0.5000
Te: 0.1683 0.1683 0.1957
Te: 0.1676 0.4995 0.8044
Te: 0.4995 0.1676 0.8044
Te: 0.5005 0.8324 0.1956
Te: 0.8324 0.5005 0.1956
Te: 0.8317 0.8317 0.8043